Record 1
Computed powder diffractogram
Compound: CdGeIr3
Radiation: λ = 1.5418 Å (Cu Kα)
Structure: the GGA-PBE geometry in Alexandria
Kinematic intensities with the Lorentz-polarization factor, no thermal factor.

Crystal structure
abc: 4.576 4.576 4.576
angles: 90.00 90.00 90.00
Positions (direct):
Cd  0.000  0.000  0.000
Ge  0.500  0.500  0.500
Ir  0.000  0.500  0.500
Ir  0.500  0.000  0.500
Ir  0.500  0.500  0.000

Top 9 peaks for 10° ≤ 2θ ≤ 80°, by angle:
2theta, Rel. int.
19.40, 18
33.93, 100
39.38, 78
44.26, 9
56.92, 53
60.72, 5
67.94, 41
71.41, 18
74.81, 2



Record 2
Computed powder diffractogram
Compound: KCd2GeO4
Radiation: λ = 1.5418 Å (Cu Kα)
Structure: the GGA-PBE geometry in Alexandria
Kinematic intensities with the Lorentz-polarization factor, no thermal factor.

Crystal structure
abc: 5.805 5.805 7.808
angles: 90.00 90.00 90.00
Positions (direct):
K  0.000  0.000  0.000
K  0.500  0.500  0.500
Cd  0.000  0.500  0.250
Cd  0.000  0.500  0.750
Cd  0.500  0.000  0.250
Cd  0.500  0.000  0.750
Ge  0.000  0.000  0.500
Ge  0.500  0.500  0.000
O  0.182  0.182  0.369
O  0.182  0.818  0.631
O  0.318  0.318  0.869
O  0.318  0.682  0.131
O  0.682  0.318  0.131
O  0.682  0.682  0.869
O  0.818  0.182  0.631
O  0.818  0.818  0.369

Top 10 peaks for 10° ≤ 2θ ≤ 80°, by angle:
2theta, Rel. int.
19.05, 8
21.65, 10
30.81, 40
31.63, 100
44.13, 22
55.30, 38
56.85, 21
66.06, 9
72.88, 8
73.32, 8



Record 3
Computed powder diffractogram
Compound: La6CdGe
Radiation: λ = 1.5418 Å (Cu Kα)
Structure: the GGA-PBE geometry in Alexandria
Kinematic intensities with the Lorentz-polarization factor, no thermal factor.

Crystal structure
abc: 5.719 5.719 15.368
angles: 90.00 90.00 90.00
Positions (direct):
La  0.000  0.000  0.224
La  0.000  0.000  0.776
La  0.000  0.500  0.108
La  0.000  0.500  0.392
La  0.000  0.500  0.608
La  0.000  0.500  0.892
La  0.500  0.000  0.108
La  0.500  0.000  0.392
La  0.500  0.000  0.608
La  0.500  0.000  0.892
La  0.500  0.500  0.276
La  0.500  0.500  0.724
Cd  0.000  0.000  0.500
Cd  0.500  0.500  0.000
Ge  0.000  0.000  0.000
Ge  0.500  0.500  0.500

Top 10 peaks for 10° ≤ 2θ ≤ 80°, by angle:
2theta, Rel. int.
23.31, 8
24.88, 8
31.28, 67
32.14, 100
44.82, 25
56.22, 42
57.82, 9
65.26, 8
74.15, 11
74.61, 9



Record 4
Computed powder diffractogram
Compound: LaCd2Ge
Radiation: λ = 1.5418 Å (Cu Kα)
Structure: the GGA-PBE geometry in Alexandria
Kinematic intensities with the Lorentz-polarization factor, no thermal factor.

Crystal structure
abc: 4.441 4.441 5.079
angles: 90.00 90.00 90.00
Positions (direct):
La  0.000  0.000  0.000
Cd  0.000  0.500  0.500
Cd  0.500  0.000  0.500
Ge  0.500  0.500  0.000

Top 10 peaks for 10° ≤ 2θ ≤ 80°, by angle:
2theta, Rel. int.
19.99, 3
26.66, 3
33.55, 100
35.34, 22
40.63, 29
54.93, 24
58.81, 10
62.30, 16
69.43, 23
70.51, 11



Record 5
Computed powder diffractogram
Compound: La2CdGePb
Radiation: λ = 1.5418 Å (Cu Kα)
Structure: the GGA-PBE geometry in Alexandria
Kinematic intensities with the Lorentz-polarization factor, no thermal factor.

Crystal structure
abc: 4.599 4.599 14.414
angles: 90.00 90.00 90.00
Positions (direct):
La  0.250  0.250  0.103
La  0.250  0.250  0.687
La  0.750  0.750  0.313
La  0.750  0.750  0.897
Cd  0.250  0.750  0.500
Cd  0.750  0.250  0.500
Ge  0.250  0.250  0.889
Ge  0.750  0.750  0.111
Pb  0.250  0.250  0.355
Pb  0.750  0.750  0.645

Top 10 peaks for 10° ≤ 2θ ≤ 80°, by angle:
2theta, Rel. int.
26.83, 38
27.42, 91
30.15, 33
31.02, 30
33.27, 68
37.24, 100
39.17, 83
50.79, 29
56.60, 28
69.72, 32



Record 6
Computed powder diffractogram
Compound: La2Cd2Ge4Pd
Radiation: λ = 1.5418 Å (Cu Kα)
Structure: the GGA-PBE geometry in Alexandria
Kinematic intensities with the Lorentz-polarization factor, no thermal factor.

Crystal structure
abc: 6.552 6.552 6.552
angles: 118.85 118.85 92.00
Positions (direct):
La  0.250  0.750  0.500
La  0.750  0.250  0.500
Cd  0.204  0.204  0.000
Cd  0.796  0.796  0.000
Ge  0.229  0.229  0.458
Ge  0.229  0.771  0.000
Ge  0.771  0.229  0.000
Ge  0.771  0.771  0.542
Pd  0.500  0.500  0.000

Top 10 peaks for 10° ≤ 2θ ≤ 80°, by angle:
2theta, Rel. int.
26.75, 22
27.24, 15
32.42, 15
33.32, 100
38.19, 65
39.60, 22
42.51, 25
55.12, 21
56.19, 30
65.95, 24



Record 7
Computed powder diffractogram
Compound: La2Cd2GePt4
Radiation: λ = 1.5418 Å (Cu Kα)
Structure: the GGA-PBE geometry in Alexandria
Kinematic intensities with the Lorentz-polarization factor, no thermal factor.

Crystal structure
abc: 6.390 6.390 6.390
angles: 114.52 114.52 99.79
Positions (direct):
La  0.250  0.750  0.500
La  0.750  0.250  0.500
Cd  0.175  0.175  0.000
Cd  0.825  0.825  0.000
Ge  0.500  0.500  0.000
Pt  0.248  0.248  0.497
Pt  0.248  0.752  0.000
Pt  0.752  0.248  0.000
Pt  0.752  0.752  0.503

Top 10 peaks for 10° ≤ 2θ ≤ 80°, by angle:
2theta, Rel. int.
21.59, 12
33.86, 100
36.78, 60
43.04, 8
43.99, 11
44.13, 8
52.99, 21
58.64, 19
64.39, 31
71.25, 11



Record 8
Computed powder diffractogram
Compound: Li2Cd2Ge
Radiation: λ = 1.5418 Å (Cu Kα)
Structure: the GGA-PBE geometry in Alexandria
Kinematic intensities with the Lorentz-polarization factor, no thermal factor.

Crystal structure
abc: 14.940 14.940 14.940
angles: 168.96 162.51 20.73
Positions (direct):
Li  0.271  0.021  0.250
Li  0.356  0.106  0.250
Li  0.644  0.894  0.750
Li  0.729  0.979  0.750
Cd  0.091  0.841  0.250
Cd  0.456  0.706  0.750
Cd  0.544  0.294  0.250
Cd  0.909  0.159  0.750
Ge  0.185  0.435  0.750
Ge  0.815  0.565  0.250

Top 10 peaks for 10° ≤ 2θ ≤ 80°, by angle:
2theta, Rel. int.
21.56, 48
24.22, 18
37.54, 10
37.95, 32
39.08, 100
39.67, 20
56.06, 20
69.33, 13
71.59, 25
78.46, 10



Record 9
Computed powder diffractogram
Compound: Li8Cd6Ge
Radiation: λ = 1.5418 Å (Cu Kα)
Structure: the GGA-PBE geometry in Alexandria
Kinematic intensities with the Lorentz-polarization factor, no thermal factor.

Crystal structure
abc: 6.868 6.868 6.868
angles: 71.34 71.34 71.34
Positions (direct):
Li  0.052  0.363  0.867
Li  0.133  0.948  0.637
Li  0.246  0.246  0.246
Li  0.363  0.867  0.052
Li  0.637  0.133  0.948
Li  0.754  0.754  0.754
Li  0.867  0.052  0.363
Li  0.948  0.637  0.133
Cd  0.167  0.624  0.444
Cd  0.376  0.556  0.833
Cd  0.444  0.167  0.624
Cd  0.556  0.833  0.376
Cd  0.624  0.444  0.167
Cd  0.833  0.376  0.556
Ge  0.000  0.000  0.000

Top 10 peaks for 10° ≤ 2θ ≤ 80°, by angle:
2theta, Rel. int.
14.03, 63
17.29, 31
26.35, 56
28.38, 100
32.08, 34
34.72, 41
35.35, 29
36.23, 98
41.83, 80
60.04, 27



Record 10
Computed powder diffractogram
Compound: Li3CdGe
Radiation: λ = 1.5418 Å (Cu Kα)
Structure: the GGA-PBE geometry in Alexandria
Kinematic intensities with the Lorentz-polarization factor, no thermal factor.

Crystal structure
abc: 6.247 8.160 5.010
angles: 90.00 127.23 90.00
Positions (direct):
Li  0.000  0.000  0.000
Li  0.468  0.203  0.594
Li  0.468  0.797  0.594
Li  0.500  0.500  0.000
Li  0.968  0.297  0.594
Li  0.968  0.703  0.594
Cd  0.102  0.500  0.226
Cd  0.602  0.000  0.226
Ge  0.145  0.000  0.602
Ge  0.645  0.500  0.602

Top 10 peaks for 10° ≤ 2θ ≤ 80°, by angle:
2theta, Rel. int.
21.27, 100
21.78, 66
36.12, 17
36.22, 18
37.90, 25
38.10, 30
38.71, 21
42.57, 22
46.69, 15
49.90, 14



Record 11
Computed powder diffractogram
Compound: NaLi2CdGe
Radiation: λ = 1.5418 Å (Cu Kα)
Structure: the GGA-PBE geometry in Alexandria
Kinematic intensities with the Lorentz-polarization factor, no thermal factor.

Crystal structure
abc: 4.988 4.988 5.208
angles: 90.00 90.00 90.00
Positions (direct):
Na  0.000  0.000  0.000
Li  0.000  0.500  0.500
Li  0.500  0.000  0.500
Cd  0.500  0.500  0.000
Ge  0.500  0.500  0.500

Top 10 peaks for 10° ≤ 2θ ≤ 80°, by angle:
2theta, Rel. int.
17.78, 100
25.25, 66
34.44, 18
36.01, 31
39.02, 27
40.44, 25
43.19, 31
50.69, 23
54.14, 21
69.70, 14



Record 12
Computed powder diffractogram
Compound: SrLiCdGe2
Radiation: λ = 1.5418 Å (Cu Kα)
Structure: the GGA-PBE geometry in Alexandria
Kinematic intensities with the Lorentz-polarization factor, no thermal factor.

Crystal structure
abc: 4.473 4.473 11.395
angles: 90.00 90.00 90.00
Positions (direct):
Sr  0.000  0.000  0.000
Sr  0.500  0.500  0.500
Li  0.000  0.500  0.750
Li  0.500  0.000  0.250
Cd  0.000  0.500  0.250
Cd  0.500  0.000  0.750
Ge  0.000  0.000  0.391
Ge  0.000  0.000  0.609
Ge  0.500  0.500  0.109
Ge  0.500  0.500  0.891

Top 10 peaks for 10° ≤ 2θ ≤ 80°, by angle:
2theta, Rel. int.
21.34, 65
30.88, 75
32.37, 100
40.33, 62
42.72, 24
44.62, 47
51.64, 34
58.35, 20
61.70, 35
68.33, 22